For HfTh2Se2Cl4, DFT lattice parameters and positions (GGA-PBE) gives the computed X-ray diffraction stick pattern in this record (CuKα).

Main lines, in order of falling intensity (10° ≤ 2θ ≤ 90°):
d 7.548, 2θ = 11.72°, rel. 100, hkl 0 0 3; d 2.624, 2θ = 34.16°, rel. 37, hkl 1 0 5; d 2.799, 2θ = 31.97°, rel. 23, hkl 0 1 4; d 3.220, 2θ = 27.70°, rel. 22, hkl 1 0 0; d 2.126, 2θ = 42.52°, rel. 20, hkl 1 0 8; d 2.962, 2θ = 30.17°, rel. 20, hkl 0 1 3; d 1.859, 2θ = 48.99°, rel. 18, hkl 1 1 0; d 1.805, 2θ = 50.56°, rel. 17, hkl 1 1 3

Cell and atoms:
```
HfTh2Se2Cl4
1.0
3.7187 0.0000 0.0000
-1.8593 3.2205 0.0000
0.0000 0.0000 22.6429
Hf Th Se Cl
1 2 2 4
Direct
0.0000 0.0000 0.0000
0.0000 0.0000 0.6579
0.6667 0.3333 0.3216
0.6667 0.3333 0.0738
0.6667 0.3333 0.9263
0.0000 0.0000 0.2363
0.0000 0.0000 0.4079
0.6667 0.3333 0.5716
0.6667 0.3333 0.7435
```

For AlTeH6C2Br3, DFT lattice parameters and positions (GGA-PBE) gives the computed X-ray diffraction stick pattern in this record (CuKα).

Main lines, in order of falling intensity (10° ≤ 2θ ≤ 90°):
d 4.212, 2θ = 21.09°, rel. 100, hkl 1 1 2; d 7.022, 2θ = 12.61°, rel. 99, hkl 1 0 0; d 3.525, 2θ = 25.26°, rel. 88, hkl 0 4 0; d 3.218, 2θ = 27.73°, rel. 79, hkl 1 3 2; d 3.693, 2θ = 24.10°, rel. 60, hkl 1 3 1; d 3.261, 2θ = 27.35°, rel. 58, hkl 2 1 1; d 3.012, 2θ = 29.66°, rel. 50, hkl 1 2 3; d 1.915, 2θ = 47.48°, rel. 44, hkl 3 2 3

Cell and atoms:
```
AlTeH6C2Br3
1.0
7.0174 0.0000 0.0000
0.0000 14.1012 0.0000
0.0000 0.0000 11.3541
Al Te H C Br
4 4 24 8 12
Direct
0.0528 0.0626 0.2500
0.0528 0.4374 0.7500
0.9472 0.5626 0.2500
0.9472 0.9374 0.7500
0.1198 0.6291 0.7500
0.1198 0.8709 0.2500
0.8802 0.1291 0.7500
0.8802 0.3709 0.2500
0.2523 0.6246 0.5278
0.2523 0.6246 0.9722
0.2523 0.8754 0.0278
0.2523 0.8754 0.4722
0.3933 0.7054 0.6154
0.3933 0.7054 0.8846
0.3933 0.7946 0.1154
0.3933 0.7946 0.3846
0.4332 0.5787 0.6250
0.4332 0.5787 0.8750
0.4332 0.9213 0.1250
0.4332 0.9213 0.3750
0.5668 0.0787 0.6250
0.5668 0.0787 0.8750
0.5668 0.4213 0.1250
0.5668 0.4213 0.3750
0.6067 0.2054 0.6154
0.6067 0.2054 0.8846
0.6067 0.2946 0.1154
0.6067 0.2946 0.3846
0.7477 0.1246 0.5278
0.7477 0.1246 0.9722
0.7477 0.3754 0.0278
0.7477 0.3754 0.4722
0.3282 0.6349 0.6111
0.3282 0.6349 0.8889
0.3282 0.8651 0.1111
0.3282 0.8651 0.3889
0.6718 0.1349 0.6111
0.6718 0.1349 0.8889
0.6718 0.3651 0.1111
0.6718 0.3651 0.3889
0.1855 0.1227 0.0798
0.1855 0.1227 0.4202
0.1855 0.3773 0.5798
0.1855 0.3773 0.9202
0.2760 0.5763 0.2500
0.2760 0.9237 0.7500
0.7240 0.0763 0.2500
0.7240 0.4237 0.7500
0.8145 0.6227 0.0798
0.8145 0.6227 0.4202
0.8145 0.8773 0.5798
0.8145 0.8773 0.9202
```

For Zr3CuS, DFT lattice parameters and positions (GGA-PBE) gives the computed X-ray diffraction stick pattern in this record (CuKα).

Main lines, in order of falling intensity (10° ≤ 2θ ≤ 90°):
d 2.441, 2θ = 36.83°, rel. 100, hkl 2 1 2; d 2.559, 2θ = 35.07°, rel. 61, hkl 2 1 1; d 2.422, 2θ = 37.11°, rel. 56, hkl 1 1 4; d 3.018, 2θ = 29.60°, rel. 45, hkl 1 1 2; d 1.886, 2θ = 48.25°, rel. 40, hkl 0 2 0; d 2.621, 2θ = 34.22°, rel. 40, hkl 1 0 5; d 2.256, 2θ = 39.97°, rel. 38, hkl 0 1 5; d 2.362, 2θ = 38.10°, rel. 28, hkl 3 0 1

Cell and atoms:
```
Zr3CuS
1.0
7.1882 0.0000 0.0000
0.0000 3.7726 0.0000
0.0000 0.0000 14.0718
Zr Cu S
12 4 4
Direct
0.0071 0.2500 0.0977
0.1355 0.2500 0.5552
0.1791 0.7500 0.2692
0.3209 0.2500 0.7692
0.3645 0.7500 0.0552
0.4929 0.7500 0.5977
0.5071 0.2500 0.4023
0.6355 0.2500 0.9448
0.6791 0.7500 0.2308
0.8209 0.2500 0.7308
0.8645 0.7500 0.4448
0.9929 0.7500 0.9023
0.0989 0.7500 0.6988
0.4011 0.2500 0.1988
0.5989 0.7500 0.8012
0.9011 0.2500 0.3012
0.2352 0.2500 0.9471
0.2648 0.7500 0.4471
0.7352 0.2500 0.5529
0.7648 0.7500 0.0529
```